[1]
# NaCa4Mg
Theoretical X-ray powder pattern, Cu Kα. Input: a crystal structure in Alexandria, relaxed with GGA-PBE.
Peak positions follow from Bragg's law for the DFT cell and can differ from measured ones.

Main lines, in order of rising 2θ (2θ = 10–90°):
d = 3.820 Å, 23.3 deg, I 9
d = 3.046 Å, 29.3 deg, I 100
d = 2.803 Å, 31.9 deg, I 45
d = 2.379 Å, 37.8 deg, I 8
d = 2.000 Å, 45.3 deg, I 6
d = 1.982 Å, 45.8 deg, I 15
d = 1.814 Å, 50.3 deg, I 14
d = 1.661 Å, 55.3 deg, I 29
d = 1.628 Å, 56.5 deg, I 9
d = 1.523 Å, 60.8 deg, I 7
d = 1.258 Å, 75.6 deg, I 6
d = 1.254 Å, 75.9 deg, I 6

Atomic structure:
```
NaCa4Mg
1.0
3.9647 0.0000 0.0000
0.0000 3.9647 0.0000
0.0000 0.0000 14.2759
Na Ca Mg
1 4 1
Direct
0.0000 0.0000 0.0000
0.0000 0.0000 0.3635
0.0000 0.0000 0.6365
0.5000 0.5000 0.1752
0.5000 0.5000 0.8248
0.5000 0.5000 0.5000
```

[2]
# Ta3CoS6
Theoretical X-ray powder pattern, Cu Kα. Input: a crystal structure in Alexandria, relaxed with GGA-PBE.
Peak positions follow from Bragg's law for the DFT cell and can differ from measured ones.

Main lines, in order of rising 2θ (2θ = 10–90°):
d = 5.943 Å, 14.9 deg, I 100
d = 2.972 Å, 30.1 deg, I 15
d = 2.890 Å, 30.9 deg, I 64
d = 2.599 Å, 34.5 deg, I 90
d = 2.072 Å, 43.7 deg, I 97
d = 1.669 Å, 55.0 deg, I 31
d = 1.634 Å, 56.3 deg, I 20
d = 1.607 Å, 57.4 deg, I 20
d = 1.404 Å, 66.6 deg, I 14
d = 1.321 Å, 71.4 deg, I 12
d = 1.300 Å, 72.8 deg, I 21
d = 1.110 Å, 88.0 deg, I 17

Atomic structure:
```
Ta3CoS6
1.0
5.7803 0.0000 0.0000
-2.8901 5.0059 0.0000
0.0000 0.0000 11.8861
Ta Co S
6 2 12
Direct
0.0000 0.0000 0.0000
0.0000 0.0000 0.5000
0.3333 0.6667 0.0022
0.3333 0.6667 0.4978
0.6667 0.3333 0.5022
0.6667 0.3333 0.9978
0.3333 0.6667 0.7500
0.6667 0.3333 0.2500
0.0011 0.3333 0.6318
0.0011 0.6678 0.8682
0.3322 0.3333 0.8682
0.3322 0.9989 0.6318
0.3333 0.0011 0.3682
0.3333 0.3322 0.1318
0.6667 0.6678 0.6318
0.6667 0.9989 0.8682
0.6678 0.0011 0.1318
0.6678 0.6667 0.3682
0.9989 0.3322 0.3682
0.9989 0.6667 0.1318
```

[3]
# Rb12O5F
Theoretical X-ray powder pattern, Cu Kα. Input: a crystal structure in Alexandria, relaxed with GGA-PBE.
Peak positions follow from Bragg's law for the DFT cell and can differ from measured ones.

Main lines, in order of rising 2θ (2θ = 10–90°):
d = 7.881 Å, 11.2 deg, I 100
d = 3.941 Å, 22.6 deg, I 15
d = 3.558 Å, 25.0 deg, I 41
d = 3.314 Å, 26.9 deg, I 100
d = 2.998 Å, 29.8 deg, I 50
d = 2.679 Å, 33.4 deg, I 52
d = 2.627 Å, 34.1 deg, I 17
d = 2.385 Å, 37.7 deg, I 14
d = 2.110 Å, 42.9 deg, I 14
d = 2.090 Å, 43.3 deg, I 39
d = 1.734 Å, 52.8 deg, I 17
d = 1.725 Å, 53.1 deg, I 26

Atomic structure:
```
Rb12O5F
1.0
3.6506 -6.3291 0.0000
3.6506 6.3291 0.0000
-0.0325 0.0000 15.7626
Rb O F
12 5 1
Direct
0.0005 0.3338 0.0855
0.9995 0.6662 0.9145
0.1534 0.1534 0.4101
0.1546 0.5006 0.5899
0.3331 0.3331 0.9144
0.3338 0.0005 0.0855
0.4994 0.8454 0.4101
0.5006 0.1546 0.5899
0.6662 0.9995 0.9145
0.6669 0.6669 0.0856
0.8454 0.4994 0.4101
0.8466 0.8466 0.5899
0.0000 0.0000 0.0000
0.1666 0.8334 0.5000
0.3333 0.6667 0.0000
0.6667 0.3333 0.0000
0.8334 0.1666 0.5000
0.5000 0.5000 0.5000
```